No. 1
This entry pairs a crystal structure of Tl2Ge2Te5 with its simulated X-ray diffraction stick pattern. Radiation: CuKα. Structure: a crystal structure in Alexandria, relaxed with GGA-PBE.

Crystal structure
```
data_Tl2Ge2Te5
_cell_length_a 14.1114
_cell_length_b 5.4277
_cell_length_c 8.8881
_cell_angle_alpha 90.00
_cell_angle_beta 107.23
_cell_angle_gamma 90.00
_space_group_name_H-M_alt 'C 1 2/m 1'
_space_group_IT_number 12
_space_group_name_Hall '-C 2y'
loop_
_atom_site_label
_atom_site_fract_x
_atom_site_fract_y
_atom_site_fract_z
Tl1 0.1076 0.0000 0.3494
Ge1 0.1694 0.5000 0.8728
Te1 0.0000 0.5000 0.0000
Te2 0.1317 0.0000 0.9470
Te3 0.1486 0.5000 0.5714
```

Main lines, by angle (10 to 90 degrees two-theta):
2θ (°), I/Imax, hkl
21.18, 40, 2 0 -2
21.49, 64, 1 1 1
25.39, 44, 4 0 -1
25.91, 83, 1 1 -2
26.45, 74, 4 0 0
29.34, 68, 3 1 -2
30.03, 64, 3 1 1
33.01, 100, 0 2 0
37.24, 55, 5 1 0
42.78, 41, 4 2 0

***

No. 2
This entry pairs a crystal structure of UBe2 with its simulated X-ray diffraction stick pattern. Radiation: CuKα. Structure: a crystal structure in Alexandria, relaxed with GGA-PBE.

Crystal structure
Cell lengths 6.7194, 6.7194, 6.7194 Å; angles 90.00, 90.00, 90.00 degrees
Space group Fd-3m (No. 227, origin choice 2)
Unique sites:
U 0.1250 0.1250 0.1250 (multiplicity 8)
Be 0.0000 0.0000 0.5000 (multiplicity 16)

Main lines, by angle (10 to 90 degrees two-theta):
2θ (°), I/Imax, hkl
22.92, 100, 1 1 1
37.87, 93, 2 2 0
44.73, 63, 3 1 1
54.64, 15, 4 0 0
60.01, 24, 3 3 1
68.40, 35, 4 2 2
73.19, 21, 5 1 1
80.93, 13, 4 4 0
85.49, 19, 5 3 1

***

No. 3
This entry pairs a crystal structure of PuAl4Ga with its simulated X-ray diffraction stick pattern. Radiation: CuKα. Structure: a crystal structure in Alexandria, relaxed with GGA-PBE.

Crystal structure
```
data_PuAl4Ga
_cell_length_a 4.1862
_cell_length_b 12.3977
_cell_length_c 4.2860
_cell_angle_alpha 90.00
_cell_angle_beta 90.00
_cell_angle_gamma 90.00
_space_group_name_H-M_alt 'C m m m'
_space_group_IT_number 65
_space_group_name_Hall '-C 2 2'
loop_
_atom_site_label
_atom_site_fract_x
_atom_site_fract_y
_atom_site_fract_z
Pu1 0.0000 0.0000 0.0000
Al1 0.0000 0.1703 0.5000
Al2 0.0000 0.3214 0.0000
Ga1 0.0000 0.5000 0.5000
```

Main lines, by angle (10 to 90 degrees two-theta):
2θ (°), I/Imax, hkl
14.29, 82, 0 2 0
20.72, 16, 0 0 1
22.42, 27, 1 1 0
25.26, 18, 0 2 1
28.80, 21, 0 4 0
30.71, 63, 1 1 1
37.07, 100, 1 3 1
42.17, 18, 0 0 2
43.22, 16, 2 0 0
47.61, 16, 1 5 1

***

Question: Which formula does entry 3 have?
Answer: PuAl4Ga

***

Question: Number 3 is which compound?
Answer: PuAl4Ga